Diffraction record for Li2Pm2F7. The powder XRD pattern is calculated, not measured: it uses a structure optimized by DFT (PBE) and CuKα.
Peak positions follow from Bragg's law for the DFT cell and can differ from measured ones.

Structural model:
a b c (Å): 5.274 5.416 5.678
angles (deg): 73.56 89.02 83.21
Space group P-1 (No. 2)
Inequivalent atoms, fractional coordinates:
1 Li 0.209 0.483 0.189
2 Pm 0.247 0.066 0.736
3 F 0.000 0.500 0.500
4 F 0.039 0.239 0.039
5 F 0.424 0.764 0.105
6 F 0.467 0.240 0.378

Principal peaks in the range 10° ≤ 2θ ≤ 90°, sorted by position:
17.19°, 5.158 Å, I 1000; 23.37°, 3.807 Å, I 476; 23.78°, 3.742 Å, I 612; 25.20°, 3.534 Å, I 667; 27.52°, 3.241 Å, I 412; 30.71°, 2.911 Å, I 217; 33.27°, 2.693 Å, I 251; 36.61°, 2.455 Å, I 247; 40.80°, 2.212 Å, I 259; 46.00°, 1.973 Å, I 236